No. 1
Diffraction record for Ba3Al5. The powder diffractogram is calculated, not measured: it uses a structure optimized by DFT (PBE) and a wavelength of 1.5418 Å.
Lines closer than 0.1° are merged.

Structure:
a b c (Å): 6.0798 6.0798 14.7406
angles (deg): 90.00 90.00 120.00
Space group P6_3/mmc (No. 194)
Asymmetric unit:
Ba: 0.0000 0.0000 0.0000 x2
Ba: 0.3333 0.6667 0.1260 x4
Al: 0.1544 0.3088 0.7500 x6
Al: 0.3333 0.6667 0.6155 x4

Principal peaks in the range 10° ≤ 2θ ≤ 90°, low angle first:
index	Position (°2θ)	d [Å]	intensity
1 0 1	17.9	4.958	41
1 0 2	20.7	4.284	29
1 0 3	24.8	3.592	31
1 1 0	29.4	3.040	95
1 0 4	29.6	3.019	100
2 1 4	52.2	1.751	34


No. 2
Diffraction record for Pm3PuAu4. The powder diffractogram is calculated, not measured: it uses a structure optimized by DFT (PBE) and a wavelength of 1.5418 Å.
Lines closer than 0.1° are merged.

Structure:
a b c (Å): 7.364 7.364 7.364
angles (deg): 90.00 90.00 90.00
Space group Im-3m (No. 229)
Asymmetric unit:
Pm: 0.000 0.000 0.500 x6
Pu: 0.000 0.000 0.000 x2
Au: 0.250 0.250 0.250 x8

Principal peaks in the range 10° ≤ 2θ ≤ 90°, low angle first:
index	Position (°2θ)	d [Å]	intensity
1 1 0	17.0	5.207	2
2 2 0	34.4	2.604	100
4 0 0	49.5	1.841	18
4 2 2	61.7	1.503	38
4 4 0	72.6	1.302	12
6 2 0	82.9	1.164	17


No. 3
Diffraction record for Rb2NaZnSb2. The powder diffractogram is calculated, not measured: it uses a structure optimized by DFT (PBE) and a wavelength of 1.5418 Å.
Lines closer than 0.1° are merged.

Structure:
a b c (Å): 7.315 16.373 7.148
angles (deg): 90.00 90.00 90.00
Space group Ibam (No. 72)
Asymmetric unit:
Rb: 0.241 0.168 0.000 x8
Na: 0.000 0.000 0.250 x4
Zn: 0.000 0.500 0.250 x4
Sb: 0.208 0.408 0.000 x8

Principal peaks in the range 10° ≤ 2θ ≤ 90°, low angle first:
index	Position (°2θ)	d [Å]	intensity
0 0 2	24.9	3.574	30
1 4 1	27.9	3.195	100
2 4 0	32.8	2.727	30
0 4 2	33.3	2.692	33
2 0 2	35.1	2.556	55
1 8 1	47.9	1.900	29


No. 4
Diffraction record for LiScPO4. The powder diffractogram is calculated, not measured: it uses a structure optimized by DFT (PBE) and a wavelength of 1.5418 Å.
Lines closer than 0.1° are merged.

Structure:
a b c (Å): 5.741 5.954 8.411
angles (deg): 90.00 90.00 90.00
Space group Imma (No. 74)
Asymmetric unit:
Li: 0.000 0.000 0.000 x4
Sc: 0.250 0.250 0.250 x4
P: 0.000 0.250 0.617 x4
O: 0.000 0.036 0.726 x8
O: 0.224 0.250 0.510 x8

Principal peaks in the range 10° ≤ 2θ ≤ 90°, low angle first:
index	Position (°2θ)	d [Å]	intensity
1 0 1	18.7	4.742	52
0 2 0	30.0	2.977	48
1 1 2	30.3	2.948	39
0 1 3	35.4	2.536	52
2 1 1	36.4	2.471	100
2 2 4	63.1	1.474	55


No. 5
Diffraction record for La3Y7Er. The powder diffractogram is calculated, not measured: it uses a structure optimized by DFT (PBE) and a wavelength of 1.5418 Å.
Lines closer than 0.1° are merged.

Structure:
a b c (Å): 6.588 6.778 8.717
angles (deg): 99.92 98.21 95.17
Space group P-1 (No. 2)
Asymmetric unit:
La: 0.000 0.000 0.000 x1
La: 0.194 0.562 0.166 x2
Y: 0.010 0.770 0.579 x2
Y: 0.285 0.276 0.789 x2
Y: 0.439 0.793 0.852 x2
Y: 0.500 0.500 0.500 x1
Er: 0.500 0.000 0.500 x1

Principal peaks in the range 10° ≤ 2θ ≤ 90°, low angle first:
index	Position (°2θ)	d [Å]	intensity
1 2 -1	31.0	2.883	77
2 0 1	31.1	2.874	24
-1 2 1	31.7	2.826	100
2 -1 1	31.8	2.815	30
2 0 -2	32.0	2.798	77
1 1 2	32.6	2.743	27


No. 6
Diffraction record for Li2CuP4O12. The powder diffractogram is calculated, not measured: it uses a structure optimized by DFT (PBE) and a wavelength of 1.5418 Å.
Lines closer than 0.1° are merged.

Structure:
a b c (Å): 5.317 7.017 7.184
angles (deg): 108.56 94.61 105.59
Space group P-1 (No. 2)
Asymmetric unit:
Li: 0.149 0.222 0.068 x2
Cu: 0.500 0.500 0.500 x1
P: 0.184 0.714 0.291 x2
P: 0.366 0.923 0.726 x2
O: 0.060 0.313 0.842 x2
O: 0.183 0.866 0.514 x2
O: 0.196 0.937 0.882 x2
O: 0.237 0.515 0.305 x2
O: 0.449 0.840 0.233 x2
O: 0.464 0.224 0.299 x2

Principal peaks in the range 10° ≤ 2θ ≤ 90°, low angle first:
index	Position (°2θ)	d [Å]	intensity
0 0 1	13.2	6.697	50
1 -1 0	18.8	4.720	25
1 0 -1	20.0	4.430	33
1 1 -1	25.0	3.562	100
1 -2 0	28.3	3.159	49
1 -1 2	31.3	2.860	36


No. 7
Diffraction record for CdPbO3. The powder diffractogram is calculated, not measured: it uses a structure optimized by DFT (PBE) and a wavelength of 1.5418 Å.
Lines closer than 0.1° are merged.

Structure:
a b c (Å): 10.529 10.571 10.805
angles (deg): 90.00 90.00 90.00
Space group Ibca (No. 73)
Asymmetric unit:
Cd: 0.000 0.000 0.000 x8
Cd: 0.250 0.218 0.000 x8
Pb: 0.000 0.250 0.218 x8
Pb: 0.214 0.000 0.750 x8
O: 0.094 0.139 0.862 x16
O: 0.134 0.098 0.148 x16
O: 0.139 0.131 0.604 x16

Principal peaks in the range 10° ≤ 2θ ≤ 90°, low angle first:
index	Position (°2θ)	d [Å]	intensity
2 2 2	29.1	3.069	100
0 0 4	33.2	2.701	12
0 4 0	33.9	2.643	13
0 4 4	48.2	1.889	13
4 4 0	48.8	1.865	12
2 6 2	57.8	1.596	12


No. 8
Diffraction record for V4P3. The powder diffractogram is calculated, not measured: it uses a structure optimized by DFT (PBE) and a wavelength of 1.5418 Å.
Lines closer than 0.1° are merged.

Structure:
a b c (Å): 3.244 13.284 17.179
angles (deg): 90.00 90.00 90.00
Space group Cmcm (No. 63)
Asymmetric unit:
V: 0.000 0.000 0.000 x4
V: 0.000 0.060 0.250 x4
V: 0.000 0.265 0.161 x8
V: 0.000 0.331 0.527 x8
V: 0.000 0.467 0.119 x8
P: 0.000 0.098 0.117 x8
P: 0.000 0.157 0.576 x8
P: 0.000 0.303 0.750 x4
P: 0.000 0.419 0.250 x4

Principal peaks in the range 10° ≤ 2θ ≤ 90°, low angle first:
index	Position (°2θ)	d [Å]	intensity
1 1 5	38.8	2.323	72
1 3 4	40.4	2.235	100
0 0 8	42.1	2.145	60
1 5 1	44.4	2.042	83
1 3 7	51.0	1.790	42
2 0 0	56.8	1.622	38